This entry pairs a crystal structure of La3DyTh2 with its simulated X-ray powder pattern. Radiation: Cu Kα. Structure: a DFT-relaxed cell (PBE, Alexandria).

Crystal structure
Lattice parameters (Å, degrees): 10.329 3.635 10.897 90.00 90.26 90.00
Element x y z (fractional)
La1 0.123 0.250 0.249
La2 0.142 0.250 0.918
La3 0.364 0.750 0.415
La4 0.636 0.250 0.585
La5 0.858 0.750 0.082
La6 0.877 0.750 0.751
Dy1 0.375 0.750 0.749
Dy2 0.625 0.250 0.251
Th1 0.119 0.250 0.581
Th2 0.387 0.750 0.082
Th3 0.613 0.250 0.918
Th4 0.881 0.750 0.419

Main lines, by angle (15 to 90 degrees two-theta):
h k l, two_theta, d_spacing, intensity
2 1 0, 30.0, 2.974, 100
2 0 3, 30.1, 2.965, 33
4 0 0, 34.7, 2.582, 22
0 1 3, 34.9, 2.569, 46
4 1 -3, 50.0, 1.824, 16
0 2 0, 50.2, 1.818, 32
2 2 -3, 59.6, 1.552, 24
2 2 3, 59.7, 1.549, 19
2 3 0, 81.6, 1.180, 10
0 3 3, 84.3, 1.149, 11